The following is a theoretical powder XRD pattern of Tm4ZrIn5. It was derived from the PBE geometry in Alexandria, using copper Kα.

Structural model:
```
data_Tm4ZrIn5
_chemical_formula_sum 'Tm4 Zr1 In5'
_cell_length_a 3.3560
_cell_length_b 3.3560
_cell_length_c 22.0413
_cell_angle_alpha 90.00
_cell_angle_beta 90.00
_cell_angle_gamma 90.00
_space_group_name_H-M_alt 'P 4/m m m'
_space_group_IT_number 123
_space_group_name_Hall '-P 4 2'
loop_
_atom_site_label
_atom_site_type_symbol
_atom_site_fract_x
_atom_site_fract_y
_atom_site_fract_z
Tm1 Tm 0.0000 0.0000 0.1017
Tm2 Tm 0.0000 0.0000 0.3048
Zr1 Zr 0.0000 0.0000 0.5000
In1 In 0.5000 0.5000 0.0000
In2 In 0.5000 0.5000 0.2030
In3 In 0.5000 0.5000 0.4057
```

Top 10 peaks for 2θ = 10–80°, in order of rising 2θ:
d_spacing, I/Imax, (hkl)
3.356, 16, 1 0 0
2.866, 17, 1 0 4
2.670, 1000, 1 0 5
2.373, 363, 1 1 0
2.204, 139, 0 0 10
1.678, 124, 2 0 0
1.615, 207, 1 1 10
1.421, 280, 2 1 5
1.346, 104, 1 0 15
1.335, 109, 2 0 10

The following is a theoretical powder XRD pattern of Tb2AlGa6. It was derived from the PBE geometry in Alexandria, using copper Kα.

Structural model:
```
data_Tb2AlGa6
_chemical_formula_sum 'Tb2 Al1 Ga6'
_cell_length_a 5.9452
_cell_length_b 5.9452
_cell_length_c 5.6817
_cell_angle_alpha 90.00
_cell_angle_beta 90.00
_cell_angle_gamma 120.00
_space_group_name_H-M_alt 'P -3 m 1'
_space_group_IT_number 164
_space_group_name_Hall '-P 3 2"'
loop_
_atom_site_label
_atom_site_type_symbol
_atom_site_fract_x
_atom_site_fract_y
_atom_site_fract_z
Tb1 Tb 0.3333 0.6667 0.1449
Al1 Al 0.0000 0.0000 0.0000
Ga1 Ga 0.1800 0.3599 0.6680
```

Top 10 peaks for 2θ = 10–80°, in order of rising 2θ:
d_spacing, I/Imax, (hkl)
3.815, 172, 1 0 1
2.634, 397, 1 1 1
2.574, 268, 2 0 0
2.487, 646, 0 1 2
2.345, 1000, 2 0 1
1.841, 146, 2 1 1
1.605, 230, 2 1 2
1.597, 166, 1 1 3
1.486, 224, 2 2 0
1.357, 140, 1 2 3

The following is a theoretical powder XRD pattern of Ba4Pt3O9. It was derived from the PBE geometry in Alexandria, using copper Kα.

Structural model:
```
data_Ba4Pt3O9
_chemical_formula_sum 'Ba12 Pt9 O27'
_cell_length_a 8.7600
_cell_length_b 10.1917
_cell_length_c 10.2416
_cell_angle_alpha 60.55
_cell_angle_beta 90.00
_cell_angle_gamma 89.93
_space_group_name_H-M_alt 'P 1'
_space_group_IT_number 1
loop_
_space_group_symop_operation_xyz
'x,y,z'
loop_
_atom_site_label
_atom_site_type_symbol
_atom_site_fract_x
_atom_site_fract_y
_atom_site_fract_z
Ba1 Ba 0.0000 0.0000 0.0000
Ba2 Ba 0.9996 0.3596 0.2963
Ba3 Ba 0.2457 0.3217 0.9850
Ba4 Ba 0.2464 0.6882 0.3366
Ba5 Ba 0.2477 0.0365 0.6357
Ba6 Ba 0.4948 0.3824 0.3206
Ba7 Ba 0.4956 0.6786 0.6627
Ba8 Ba 0.4989 0.0065 0.9741
Ba9 Ba 0.7426 0.3382 0.9888
Ba10 Ba 0.7474 0.0137 0.6587
Ba11 Ba 0.7504 0.6864 0.3249
Ba12 Ba 0.9938 0.7052 0.6562
Pt1 Pt 0.0055 0.4154 0.5896
Pt2 Pt 0.1509 0.0174 0.3294
Pt3 Pt 0.2482 0.6812 0.9181
Pt4 Pt 0.3436 0.3389 0.6626
Pt5 Pt 0.4890 0.0914 0.2524
Pt6 Pt 0.5866 0.6789 0.9980
Pt7 Pt 0.6670 0.3369 0.6659
Pt8 Pt 0.8275 0.0162 0.3316
Pt9 Pt 0.9090 0.6782 0.9989
O1 O 0.0216 0.6799 0.1719
O2 O 0.0619 0.8300 0.8467
O3 O 0.0668 0.5325 0.9910
O4 O 0.1874 0.4846 0.6691
O5 O 0.1920 0.3561 0.5011
O6 O 0.2276 0.1596 0.8273
O7 O 0.2668 0.8506 0.5036
O8 O 0.3040 0.1774 0.3150
O9 O 0.3058 0.0091 0.1842
O10 O 0.4289 0.5312 0.9941
O11 O 0.4349 0.8270 0.8404
O12 O 0.4743 0.6891 0.1683
O13 O 0.5034 0.3354 0.8136
O14 O 0.5050 0.5028 0.5152
O15 O 0.5057 0.1976 0.6457
O16 O 0.6712 0.1700 0.3227
O17 O 0.6715 0.0076 0.1891
O18 O 0.7172 0.8495 0.5067
O19 O 0.7461 0.6725 0.8459
O20 O 0.7472 0.5294 0.1432
O21 O 0.7489 0.8264 0.9943
O22 O 0.7778 0.1608 0.8326
O23 O 0.8212 0.3453 0.5122
O24 O 0.8255 0.4769 0.6771
O25 O 0.9878 0.1702 0.1639
O26 O 0.9901 0.0336 0.4715
O27 O 0.9902 0.8682 0.3335
```

Top 10 peaks for 2θ = 10–80°, in order of rising 2θ:
d_spacing, I/Imax, (hkl)
5.107, 923, 0 2 1
3.337, 785, 2 -1 1
3.326, 821, 2 1 2
2.973, 906, 0 0 3
2.958, 943, 0 3 0
2.941, 1000, 0 3 3
2.774, 508, 3 1 0
2.437, 401, 3 2 2
2.209, 522, 2 2 4
2.202, 661, 2 4 2